Record 1
Diffraction record for Cu5Sn4. The X-ray powder pattern is calculated, not measured: it uses DFT lattice parameters and positions (PBE) and a wavelength of 1.5418 Å.
No peak broadening, texture or thermal motion is included.

The 12 most intense peaks (2θ = 10–90°), by angle:
2θ = 29.57°, I 39; 2θ = 29.70°, I 33; 2θ = 29.80°, I 31; 2θ = 38.55°, I 10; 2θ = 42.08°, I 100; 2θ = 42.72°, I 29; 2θ = 42.90°, I 29; 2θ = 43.05°, I 27; 2θ = 61.38°, I 9; 2θ = 61.67°, I 8; 2θ = 61.89°, I 8; 2θ = 76.90°, I 13

Structural model:
a b c (Å): 12.8913 7.4343 10.2390
angles (deg): 90.00 90.52 90.00
Space group C2 (No. 5)
Symmetry-distinct sites (fractional):
Cu 0.0000 0.0000 0.0000 [2 per cell]
Cu 0.0077 0.3166 0.8743 [4 per cell]
Cu 0.0084 0.3336 0.6233 [4 per cell]
Cu 0.1602 0.8633 0.8744 [4 per cell]
Cu 0.1662 0.8403 0.1259 [4 per cell]
Cu 0.1683 0.8564 0.6236 [4 per cell]
Cu 0.1703 0.1771 0.7487 [4 per cell]
Cu 0.1747 0.8334 0.3768 [4 per cell]
Sn 0.0000 0.6431 0.0000 [2 per cell]
Sn 0.0000 0.6692 0.5000 [2 per cell]
Sn 0.0090 0.9903 0.2695 [4 per cell]
Sn 0.1504 0.4992 0.2491 [4 per cell]
Sn 0.1629 0.5345 0.7519 [4 per cell]
Sn 0.1690 0.1769 0.4795 [4 per cell]
Sn 0.1789 0.1861 0.0196 [4 per cell]

***

Record 2
Diffraction record for Cu3Sn. The X-ray powder pattern is calculated, not measured: it uses DFT lattice parameters and positions (PBE) and a wavelength of 1.5418 Å.
No peak broadening, texture or thermal motion is included.

The 10 most intense peaks (2θ = 10–90°), by angle:
2θ = 25.03°, I 6; 2θ = 28.98°, I 3; 2θ = 41.45°, I 100; 2θ = 49.04°, I 3; 2θ = 51.37°, I 1; 2θ = 60.07°, I 16; 2θ = 66.11°, I 2; 2θ = 68.05°, I 2; 2θ = 75.61°, I 32; 2θ = 81.11°, I 1

Structural model:
a b c (Å): 6.1612 6.1612 6.1612
angles (deg): 90.00 90.00 90.00
Space group Fm-3m (No. 225)
Symmetry-distinct sites (fractional):
Cu 0.0000 0.0000 0.0000 [4 per cell]
Cu 0.2500 0.2500 0.2500 [8 per cell]
Sn 0.0000 0.0000 0.5000 [4 per cell]

***

Record 3
Diffraction record for CuSn3. The X-ray powder pattern is calculated, not measured: it uses DFT lattice parameters and positions (PBE) and a wavelength of 1.5418 Å.
No peak broadening, texture or thermal motion is included.

The 12 most intense peaks (2θ = 10–90°), by angle:
2θ = 27.22°, I 16; 2θ = 29.65°, I 66; 2θ = 31.56°, I 23; 2θ = 32.87°, I 100; 2θ = 39.22°, I 88; 2θ = 42.48°, I 41; 2θ = 49.97°, I 16; 2θ = 51.49°, I 28; 2θ = 58.11°, I 15; 2θ = 60.55°, I 18; 2θ = 67.57°, I 33; 2θ = 68.89°, I 20

Structural model:
a b c (Å): 3.2216 3.5497 8.5058
angles (deg): 90.00 90.00 90.00
Space group Pmm2 (No. 25)
Symmetry-distinct sites (fractional):
Cu 0.0000 0.0000 0.0000 [1 per cell]
Sn 0.0000 0.5000 0.2424 [1 per cell]
Sn 0.5000 0.0000 0.5188 [1 per cell]
Sn 0.5000 0.5000 0.8352 [1 per cell]

***

Record 4
Diffraction record for Cu23Sn6. The X-ray powder pattern is calculated, not measured: it uses DFT lattice parameters and positions (PBE) and a wavelength of 1.5418 Å.
No peak broadening, texture or thermal motion is included.

The 12 most intense peaks (2θ = 10–90°), by angle:
2θ = 36.87°, I 18; 2θ = 39.20°, I 50; 2θ = 42.84°, I 100; 2θ = 44.90°, I 13; 2θ = 45.58°, I 9; 2θ = 48.19°, I 10; 2θ = 59.45°, I 7; 2θ = 66.43°, I 10; 2θ = 76.02°, I 7; 2θ = 78.47°, I 18; 2θ = 79.93°, I 11; 2θ = 83.79°, I 11

Structural model:
a b c (Å): 11.9423 11.9423 11.9423
angles (deg): 90.00 90.00 90.00
Space group Fm-3m (No. 225)
Symmetry-distinct sites (fractional):
Cu 0.0000 0.0000 0.0000 [4 per cell]
Cu 0.0000 0.2500 0.2500 [24 per cell]
Cu 0.1200 0.1200 0.1200 [32 per cell]
Cu 0.1719 0.1719 0.3281 [32 per cell]
Sn 0.0000 0.0000 0.2816 [24 per cell]

***

Record 5
Diffraction record for Sr3CuSn3. The X-ray powder pattern is calculated, not measured: it uses DFT lattice parameters and positions (PBE) and a wavelength of 1.5418 Å.
No peak broadening, texture or thermal motion is included.

The 12 most intense peaks (2θ = 10–90°), by angle:
2θ = 28.65°, I 41; 2θ = 28.83°, I 100; 2θ = 29.23°, I 54; 2θ = 30.24°, I 40; 2θ = 32.97°, I 38; 2θ = 35.56°, I 33; 2θ = 35.80°, I 92; 2θ = 36.00°, I 35; 2θ = 36.76°, I 70; 2θ = 52.08°, I 27; 2θ = 52.40°, I 27; 2θ = 57.79°, I 26

Structural model:
a b c (Å): 11.8234 4.8894 16.0047
angles (deg): 90.00 110.73 90.00
Space group C2/m (No. 12)
Symmetry-distinct sites (fractional):
Sr 0.0397 0.0000 0.3869 [4 per cell]
Sr 0.0956 0.0000 0.9184 [4 per cell]
Sr 0.2492 0.0000 0.2341 [4 per cell]
Cu 0.2481 0.5000 0.3981 [4 per cell]
Sn 0.0476 0.5000 0.2411 [4 per cell]
Sn 0.1151 0.5000 0.0775 [4 per cell]
Sn 0.1412 0.5000 0.5405 [4 per cell]

***

Record 6
Diffraction record for Sr3Cu8Sn4. The X-ray powder pattern is calculated, not measured: it uses DFT lattice parameters and positions (PBE) and a wavelength of 1.5418 Å.
No peak broadening, texture or thermal motion is included.

The 12 most intense peaks (2θ = 10–90°), by angle:
2θ = 10.90°, I 35; 2θ = 24.63°, I 19; 2θ = 31.26°, I 19; 2θ = 31.51°, I 70; 2θ = 35.04°, I 25; 2θ = 35.65°, I 35; 2θ = 37.03°, I 20; 2θ = 38.43°, I 100; 2θ = 40.68°, I 29; 2θ = 44.92°, I 29; 2θ = 45.23°, I 23; 2θ = 60.81°, I 27

Structural model:
a b c (Å): 9.3705 9.3705 7.9471
angles (deg): 90.00 90.00 120.00
Space group P6_3mc (No. 186)
Symmetry-distinct sites (fractional):
Sr 0.0498 0.5249 0.0000 [6 per cell]
Cu 0.0000 0.0000 0.2269 [2 per cell]
Cu 0.0977 0.1954 0.9806 [6 per cell]
Cu 0.1608 0.3217 0.6778 [6 per cell]
Cu 0.3333 0.6667 0.3326 [2 per cell]
Sn 0.1656 0.3311 0.2965 [6 per cell]
Sn 0.3333 0.6667 0.6798 [2 per cell]

***

Record 7
Diffraction record for SrCuSn3. The X-ray powder pattern is calculated, not measured: it uses DFT lattice parameters and positions (PBE) and a wavelength of 1.5418 Å.
No peak broadening, texture or thermal motion is included.

The 12 most intense peaks (2θ = 10–90°), by angle:
2θ = 27.30°, I 14; 2θ = 28.95°, I 18; 2θ = 29.19°, I 100; 2θ = 32.68°, I 19; 2θ = 34.90°, I 17; 2θ = 38.55°, I 35; 2θ = 38.73°, I 34; 2θ = 41.42°, I 12; 2θ = 42.91°, I 43; 2θ = 49.09°, I 12; 2θ = 55.80°, I 25; 2θ = 64.08°, I 19

Structural model:
a b c (Å): 4.6705 24.6772 4.6499
angles (deg): 90.00 90.00 90.00
Space group Cmcm (No. 63)
Symmetry-distinct sites (fractional):
Sr 0.0000 0.0817 0.2500 [4 per cell]
Cu 0.0000 0.3620 0.2500 [4 per cell]
Sn 0.0000 0.1920 0.7500 [4 per cell]
Sn 0.0000 0.3092 0.7500 [4 per cell]
Sn 0.0000 0.4662 0.2500 [4 per cell]

***

Record 8
Diffraction record for Sr2Cu2Sn3. The X-ray powder pattern is calculated, not measured: it uses DFT lattice parameters and positions (PBE) and a wavelength of 1.5418 Å.
No peak broadening, texture or thermal motion is included.

The 12 most intense peaks (2θ = 10–90°), by angle:
2θ = 19.02°, I 20; 2θ = 30.83°, I 100; 2θ = 31.22°, I 96; 2θ = 35.18°, I 31; 2θ = 37.54°, I 60; 2θ = 40.61°, I 38; 2θ = 43.33°, I 32; 2θ = 43.81°, I 37; 2θ = 52.39°, I 20; 2θ = 56.49°, I 29; 2θ = 63.61°, I 21; 2θ = 70.43°, I 19

Structural model:
a b c (Å): 4.7919 20.4105 7.4040
angles (deg): 90.00 90.00 90.00
Space group Cmcm (No. 63)
Symmetry-distinct sites (fractional):
Sr 0.0000 0.0519 0.2500 [4 per cell]
Sr 0.0000 0.1644 0.7500 [4 per cell]
Cu 0.0000 0.3097 0.5751 [8 per cell]
Sn 0.0000 0.2233 0.2500 [4 per cell]
Sn 0.0000 0.4321 0.0588 [8 per cell]

***

Record 9
Diffraction record for Sr4CuSn8. The X-ray powder pattern is calculated, not measured: it uses DFT lattice parameters and positions (PBE) and a wavelength of 1.5418 Å.
No peak broadening, texture or thermal motion is included.

The 12 most intense peaks (2θ = 10–90°), by angle:
2θ = 23.83°, I 13; 2θ = 27.17°, I 13; 2θ = 31.06°, I 100; 2θ = 33.74°, I 20; 2θ = 39.70°, I 19; 2θ = 39.87°, I 19; 2θ = 42.77°, I 13; 2θ = 46.06°, I 11; 2θ = 53.06°, I 11; 2θ = 57.52°, I 13; 2θ = 66.70°, I 12; 2θ = 66.94°, I 11

Structural model:
a b c (Å): 4.5220 4.5413 19.6915
angles (deg): 90.00 90.00 90.00
Space group Pmm2 (No. 25)
Symmetry-distinct sites (fractional):
Sr 0.0000 0.0000 0.0000 [1 per cell]
Sr 0.0000 0.5000 0.4976 [1 per cell]
Sr 0.5000 0.0000 0.2141 [1 per cell]
Sr 0.5000 0.5000 0.7145 [1 per cell]
Cu 0.5000 0.0000 0.4294 [1 per cell]
Sn 0.0000 0.0000 0.3523 [1 per cell]
Sn 0.0000 0.0000 0.6528 [1 per cell]
Sn 0.0000 0.5000 0.1527 [1 per cell]
Sn 0.0000 0.5000 0.8554 [1 per cell]
Sn 0.5000 0.0000 0.5627 [1 per cell]
Sn 0.5000 0.0000 0.8592 [1 per cell]
Sn 0.5000 0.5000 0.0611 [1 per cell]
Sn 0.5000 0.5000 0.3506 [1 per cell]

***

Record 10
Diffraction record for Sr3CuSn2. The X-ray powder pattern is calculated, not measured: it uses DFT lattice parameters and positions (PBE) and a wavelength of 1.5418 Å.
No peak broadening, texture or thermal motion is included.

The 12 most intense peaks (2θ = 10–90°), by angle:
2θ = 27.57°, I 89; 2θ = 28.13°, I 100; 2θ = 28.93°, I 37; 2θ = 29.31°, I 78; 2θ = 31.45°, I 73; 2θ = 34.39°, I 70; 2θ = 35.42°, I 31; 2θ = 35.83°, I 43; 2θ = 36.29°, I 47; 2θ = 38.62°, I 44; 2θ = 40.94°, I 61; 2θ = 64.77°, I 32

Structural model:
a b c (Å): 13.2993 4.4093 13.7049
angles (deg): 90.00 90.00 90.00
Space group Pnma (No. 62)
Symmetry-distinct sites (fractional):
Sr 0.0522 0.2500 0.1258 [4 per cell]
Sr 0.1165 0.7500 0.5503 [4 per cell]
Sr 0.2145 0.2500 0.7934 [4 per cell]
Cu 0.1321 0.2500 0.3739 [4 per cell]
Sn 0.0277 0.7500 0.3155 [4 per cell]
Sn 0.1950 0.7500 0.9850 [4 per cell]

***

Record 11
Diffraction record for Tb7Cu2Sn2. The X-ray powder pattern is calculated, not measured: it uses DFT lattice parameters and positions (PBE) and a wavelength of 1.5418 Å.
No peak broadening, texture or thermal motion is included.

The 12 most intense peaks (2θ = 10–90°), by angle:
2θ = 25.46°, I 31; 2θ = 27.11°, I 74; 2θ = 29.18°, I 54; 2θ = 30.35°, I 29; 2θ = 31.82°, I 71; 2θ = 34.09°, I 24; 2θ = 37.07°, I 42; 2θ = 37.75°, I 100; 2θ = 44.69°, I 20; 2θ = 52.96°, I 23; 2θ = 60.66°, I 20; 2θ = 63.13°, I 19

Structural model:
a b c (Å): 8.1104 11.2475 6.9155
angles (deg): 90.00 90.00 90.00
Space group Cmmm (No. 65)
Symmetry-distinct sites (fractional):
Tb 0.0000 0.0000 0.0000 [2 per cell]
Tb 0.0000 0.5000 0.2366 [4 per cell]
Tb 0.2500 0.2500 0.2561 [8 per cell]
Cu 0.0000 0.2906 0.0000 [4 per cell]
Sn 0.1788 0.0000 0.5000 [4 per cell]

***

Record 12
Diffraction record for Tb3CuSn. The X-ray powder pattern is calculated, not measured: it uses DFT lattice parameters and positions (PBE) and a wavelength of 1.5418 Å.
No peak broadening, texture or thermal motion is included.

The 12 most intense peaks (2θ = 10–90°), by angle:
2θ = 29.14°, I 26; 2θ = 30.31°, I 57; 2θ = 30.51°, I 37; 2θ = 30.66°, I 100; 2θ = 31.14°, I 36; 2θ = 31.99°, I 88; 2θ = 32.45°, I 31; 2θ = 36.14°, I 25; 2θ = 36.48°, I 38; 2θ = 36.80°, I 24; 2θ = 39.87°, I 29; 2θ = 49.46°, I 34

Structural model:
a b c (Å): 16.5729 3.6853 8.7975
angles (deg): 90.00 92.51 90.00
Space group Cm (No. 8)
Symmetry-distinct sites (fractional):
Tb 0.0000 0.0000 0.0000 [2 per cell]
Tb 0.0154 0.5000 0.6047 [2 per cell]
Tb 0.1549 0.5000 0.2521 [2 per cell]
Tb 0.2131 0.0000 0.5961 [2 per cell]
Tb 0.3024 0.0000 0.0079 [2 per cell]
Tb 0.3604 0.5000 0.3520 [2 per cell]
Cu 0.0471 0.0000 0.3670 [2 per cell]
Cu 0.4682 0.0000 0.2382 [2 per cell]
Sn 0.1461 0.5000 0.8813 [2 per cell]
Sn 0.3694 0.5000 0.7228 [2 per cell]